Diffraction record for Ce4Bi8Rh3. The X-ray powder pattern is theoretical, not measured: it uses a cell relaxed with GGA-PBE and copper Kα.
Kinematic intensities with the Lorentz-polarization factor, no thermal factor.

Largest 10 diffraction maxima, by angle, 2θ = 10–90°:
2θ = 27.0°, I 10, hkl 1 0 4
2θ = 28.4°, I 23, hkl 0 0 6
2θ = 28.9°, I 36, hkl 1 1 2
2θ = 33.3°, I 100, hkl 1 1 4
2θ = 39.0°, I 49, hkl 2 0 0
2θ = 47.5°, I 12, hkl 1 1 8
2θ = 48.9°, I 22, hkl 2 0 6
2θ = 56.3°, I 27, hkl 2 2 0
2θ = 67.0°, I 28, hkl 3 1 4
2θ = 83.7°, I 13, hkl 4 0 0

a b c (Å): 4.623 4.623 18.880
angles (deg): 90.00 90.00 90.00
Fractional coordinates of all 15 atoms:
Ce (0.000, 0.500, 0.106)
Ce (0.000, 0.500, 0.613)
Ce (0.500, 0.000, 0.387)
Ce (0.500, 0.000, 0.894)
Bi (0.000, 0.000, 0.246)
Bi (0.000, 0.000, 0.754)
Bi (0.000, 0.500, 0.413)
Bi (0.000, 0.500, 0.921)
Bi (0.500, 0.000, 0.079)
Bi (0.500, 0.000, 0.587)
Bi (0.500, 0.500, 0.246)
Bi (0.500, 0.500, 0.754)
Rh (0.000, 0.000, 0.000)
Rh (0.000, 0.000, 0.500)
Rh (0.500, 0.500, 0.500)